# 1
Computed PXRD pattern
Compound: CaCoRe2
Radiation: Cu Kα
Structure: a cell relaxed with PBE

Structure:
```
CaCoRe2
1.0
-1.351 2.280 5.229
1.351 -2.280 5.229
1.351 2.280 -5.229
Ca Co Re
1 1 2
Cartesian
0.000 0.000 0.000 Ca
0.000 0.000 5.229 Co
1.351 0.000 3.037 Re
0.000 2.280 2.192 Re
```

Main lines, low angle first (2θ = 10–90°):
| d [Å] | I_rel |
| --- | --- |
| 5.229 | 625 |
| 4.179 | 208 |
| 2.769 | 321 |
| 2.615 | 250 |
| 2.324 | 252 |
| 2.280 | 380 |
| 2.135 | 213 |
| 2.124 | 1000 |
| 1.901 | 275 |
| 1.558 | 159 |
| 1.284 | 207 |
| 1.134 | 155 |

---

# 2
Computed PXRD pattern
Compound: CaCo2Re2
Radiation: Cu Kα
Structure: a cell relaxed with PBE

Structure:
```
CaCo2Re2
1.0
7.519 0.000 0.000
0.000 7.519 0.000
0.000 0.000 2.629
Ca Co Re
2 4 4
Cartesian
0.000 0.000 0.000 Ca
3.759 3.759 0.000 Ca
0.901 2.858 0.000 Co
2.858 6.618 0.000 Co
4.660 0.901 0.000 Co
6.618 4.660 0.000 Co
1.279 5.038 1.315 Re
2.480 1.279 1.315 Re
5.038 6.240 1.315 Re
6.240 2.480 1.315 Re
```

Main lines, low angle first (2θ = 10–90°):
| d [Å] | I_rel |
| --- | --- |
| 5.317 | 262 |
| 3.759 | 207 |
| 3.362 | 511 |
| 2.658 | 89 |
| 2.378 | 450 |
| 2.155 | 270 |
| 2.071 | 1000 |
| 1.824 | 246 |
| 1.772 | 172 |
| 1.498 | 226 |
| 1.470 | 171 |
| 1.233 | 150 |

---

# 3
Computed PXRD pattern
Compound: CaCoRu2
Radiation: Cu Kα
Structure: a cell relaxed with PBE

Structure:
```
CaCoRu2
1.0
2.820 0.000 0.000
0.000 4.188 0.000
-1.401 0.000 5.531
Ca Co Ru
1 1 2
Cartesian
0.000 0.000 0.000 Ca
1.411 2.094 1.464 Co
0.001 2.094 3.566 Ru
1.409 0.000 2.698 Ru
```

Main lines, low angle first (2θ = 10–90°):
| d [Å] | I_rel |
| --- | --- |
| 5.531 | 1000 |
| 2.308 | 806 |
| 2.288 | 937 |
| 2.240 | 503 |
| 2.094 | 451 |
| 1.975 | 554 |
| 1.958 | 132 |
| 1.687 | 211 |
| 1.530 | 286 |
| 1.243 | 125 |
| 1.169 | 126 |
| 1.151 | 138 |

---

# 4
Computed PXRD pattern
Compound: Ca2CoRu
Radiation: Cu Kα
Structure: a cell relaxed with PBE

Structure:
```
Ca2CoRu
1.0
4.069 0.000 0.000
0.000 2.258 5.063
0.000 -2.258 5.063
Ca Co Ru
2 1 1
Cartesian
0.000 0.000 0.000 Ca
2.034 0.000 2.901 Ca
0.000 0.000 6.986 Co
2.034 0.000 6.048 Ru
```

Main lines, low angle first (2θ = 10–90°):
| d [Å] | I_rel |
| --- | --- |
| 5.063 | 1000 |
| 4.124 | 934 |
| 2.896 | 976 |
| 2.703 | 956 |
| 2.258 | 507 |
| 2.252 | 879 |
| 2.149 | 505 |
| 2.034 | 365 |
| 1.626 | 377 |
| 1.558 | 593 |
| 1.511 | 265 |
| 1.283 | 248 |

---

# 5
Computed PXRD pattern
Compound: CaCo2S5
Radiation: Cu Kα
Structure: a cell relaxed with PBE

Structure:
```
CaCo2S5
1.0
3.870 0.000 0.000
0.000 13.129 0.000
0.000 0.000 6.792
Ca Co S
2 4 10
Cartesian
0.967 3.282 0.469 Ca
2.902 9.847 6.323 Ca
0.967 7.895 3.332 Co
0.967 11.799 3.332 Co
2.902 1.330 3.461 Co
2.902 5.234 3.461 Co
0.967 0.731 2.538 S
0.967 5.833 2.538 S
0.967 8.783 1.371 S
0.967 9.847 4.388 S
0.967 10.911 1.371 S
2.902 2.218 5.421 S
2.902 3.282 2.404 S
2.902 4.347 5.421 S
2.902 7.296 4.255 S
2.902 12.398 4.255 S
```

Main lines, low angle first (2θ = 10–90°):
| d [Å] | I_rel |
| --- | --- |
| 6.792 | 1000 |
| 4.720 | 506 |
| 3.712 | 274 |
| 3.362 | 256 |
| 3.257 | 367 |
| 2.449 | 168 |
| 2.379 | 288 |
| 2.205 | 293 |
| 1.934 | 315 |
| 1.863 | 165 |
| 1.784 | 179 |
| 1.638 | 222 |

---

# 6
Computed PXRD pattern
Compound: CaCoSb
Radiation: Cu Kα
Structure: a cell relaxed with PBE

Structure:
```
CaCoSb
1.0
4.393 0.000 0.000
0.000 4.393 0.000
0.000 0.000 6.862
Ca Co Sb
2 2 2
Cartesian
1.098 1.098 1.321 Ca
3.295 3.295 5.541 Ca
1.098 3.295 3.431 Co
3.295 1.098 3.431 Co
1.098 1.098 4.811 Sb
3.295 3.295 2.051 Sb
```

Main lines, low angle first (2θ = 10–90°):
| d [Å] | I_rel |
| --- | --- |
| 6.862 | 734 |
| 3.700 | 544 |
| 3.106 | 319 |
| 2.704 | 410 |
| 2.303 | 1000 |
| 2.196 | 592 |
| 1.842 | 201 |
| 1.705 | 196 |
| 1.598 | 201 |
| 1.553 | 188 |
| 1.292 | 192 |
| 1.288 | 284 |

---

# 7
Computed PXRD pattern
Compound: CaSc2Co9
Radiation: Cu Kα
Structure: a cell relaxed with PBE

Structure:
```
CaSc2Co9
1.0
2.460 1.420 7.875
-2.460 1.420 7.875
0.000 -2.841 7.875
Ca Sc Co
1 2 9
Cartesian
0.000 0.000 0.000 Ca
0.000 0.000 3.324 Sc
0.000 0.000 20.301 Sc
-1.255 -0.725 9.872 Co
0.000 0.000 7.929 Co
0.000 -1.450 13.753 Co
-1.255 0.725 13.753 Co
0.000 0.000 11.812 Co
1.255 -0.725 9.872 Co
0.000 1.450 9.872 Co
0.000 0.000 15.695 Co
1.255 0.725 13.753 Co
```

Main lines, low angle first (2θ = 10–90°):
| d [Å] | I_rel |
| --- | --- |
| 4.193 | 347 |
| 2.460 | 195 |
| 2.427 | 166 |
| 2.122 | 282 |
| 2.086 | 1000 |
| 2.004 | 160 |
| 1.969 | 274 |
| 1.942 | 455 |
| 1.918 | 156 |
| 1.802 | 194 |
| 1.336 | 208 |
| 1.230 | 227 |

---

# 8
Computed PXRD pattern
Compound: Ca2Co12Si7
Radiation: Cu Kα
Structure: a cell relaxed with PBE

Structure:
```
Ca2Co12Si7
1.0
9.122 0.000 0.000
-4.561 7.900 0.000
0.000 0.000 3.667
Ca Co Si
2 12 7
Cartesian
0.000 0.000 0.000 Ca
0.000 5.267 1.833 Ca
-3.052 6.025 1.833 Co
-0.827 3.053 0.000 Co
0.869 2.245 1.833 Co
-1.504 7.090 0.000 Co
2.617 1.627 0.000 Co
4.496 0.966 1.833 Co
3.150 3.523 1.833 Co
2.331 5.658 0.000 Co
2.183 7.531 1.833 Co
6.405 1.453 0.000 Co
4.661 4.820 0.000 Co
6.038 3.411 1.833 Co
-2.242 4.870 0.000 Si
2.270 0.322 1.833 Si
1.465 3.523 0.000 Si
0.778 7.407 0.000 Si
4.561 2.633 0.000 Si
3.705 5.773 1.833 Si
7.709 1.805 1.833 Si
```

Main lines, low angle first (2θ = 10–90°):
| d [Å] | I_rel |
| --- | --- |
| 7.900 | 146 |
| 4.561 | 113 |
| 2.315 | 1000 |
| 2.191 | 100 |
| 2.139 | 134 |
| 1.975 | 120 |
| 1.881 | 351 |
| 1.833 | 246 |
| 1.812 | 165 |
| 1.724 | 140 |
| 1.289 | 96 |
| 1.256 | 92 |

---

# 9
Computed PXRD pattern
Compound: CaCo5Si3
Radiation: Cu Kα
Structure: a cell relaxed with PBE

Structure:
```
CaCo5Si3
1.0
1.862 -5.953 0.000
1.862 5.953 0.000
0.000 0.000 11.105
Ca Co Si
2 10 6
Cartesian
1.862 3.867 8.329 Ca
1.862 -3.867 2.776 Ca
0.000 0.000 0.000 Co
0.000 0.000 5.553 Co
1.862 3.666 0.689 Co
1.862 3.666 4.864 Co
1.862 0.561 7.151 Co
1.862 0.561 9.507 Co
1.862 -0.561 1.598 Co
1.862 -0.561 3.954 Co
1.862 -3.666 6.241 Co
1.862 -3.666 10.417 Co
1.862 4.706 2.776 Si
1.862 1.457 0.471 Si
1.862 1.457 5.082 Si
1.862 -1.457 6.024 Si
1.862 -1.457 10.634 Si
1.862 -4.706 8.329 Si
```

Main lines, low angle first (2θ = 10–90°):
| d [Å] | I_rel |
| --- | --- |
| 5.953 | 240 |
| 5.553 | 641 |
| 5.246 | 466 |
| 2.716 | 418 |
| 2.564 | 703 |
| 2.440 | 237 |
| 2.188 | 1000 |
| 2.006 | 391 |
| 1.885 | 835 |
| 1.862 | 625 |
| 1.767 | 298 |
| 1.749 | 252 |

---

# 10
Computed PXRD pattern
Compound: Ca2Co2Sn
Radiation: Cu Kα
Structure: a cell relaxed with PBE

Structure:
```
Ca2Co2Sn
1.0
3.801 0.000 0.000
0.000 4.404 0.000
-1.878 0.000 6.481
Ca Co Sn
2 2 1
Cartesian
0.009 0.000 1.770 Ca
1.914 0.000 4.711 Ca
0.013 2.202 3.822 Co
1.911 2.202 2.659 Co
1.900 2.202 0.000 Sn
```

Main lines, low angle first (2θ = 10–90°):
| d [Å] | I_rel |
| --- | --- |
| 4.404 | 439 |
| 3.647 | 229 |
| 2.809 | 1000 |
| 2.610 | 597 |
| 2.202 | 302 |
| 2.145 | 199 |
| 2.138 | 198 |
| 1.929 | 165 |
| 1.924 | 163 |
| 1.900 | 189 |
| 1.537 | 246 |
| 1.534 | 245 |

---

# 11
Computed PXRD pattern
Compound: Ca3Co2Sn3
Radiation: Cu Kα
Structure: a cell relaxed with PBE

Structure:
```
Ca3Co2Sn3
1.0
4.317 0.000 0.000
-0.002 5.252 0.000
-2.155 -1.296 8.462
Ca Co Sn
3 2 3
Cartesian
0.000 0.000 0.000 Ca
0.001 2.553 2.722 Ca
2.159 1.403 5.740 Ca
0.003 -0.222 3.763 Co
2.157 4.178 4.699 Co
-0.001 3.967 6.074 Sn
2.157 2.626 0.000 Sn
2.160 -0.011 2.387 Sn
```

Main lines, low angle first (2θ = 10–90°):
| d [Å] | I_rel |
| --- | --- |
| 5.192 | 341 |
| 4.183 | 331 |
| 4.154 | 490 |
| 2.990 | 454 |
| 2.821 | 247 |
| 2.747 | 1000 |
| 2.595 | 574 |
| 2.494 | 677 |
| 2.158 | 420 |
| 2.109 | 305 |
| 1.659 | 294 |
| 1.537 | 281 |

---

# 12
Computed PXRD pattern
Compound: Ca3Co4Sn13
Radiation: Cu Kα
Structure: a cell relaxed with PBE

Structure:
```
Ca3Co4Sn13
1.0
9.633 0.000 0.000
0.000 9.633 0.000
0.000 0.000 9.633
Ca Co Sn
6 8 26
Cartesian
0.000 2.408 4.816 Ca
0.000 7.224 4.816 Ca
2.408 4.816 0.000 Ca
4.816 0.000 2.408 Ca
4.816 0.000 7.224 Ca
7.224 4.816 0.000 Ca
2.408 2.408 2.408 Co
2.408 2.408 7.224 Co
2.408 7.224 2.408 Co
2.408 7.224 7.224 Co
7.224 2.408 2.408 Co
7.224 2.408 7.224 Co
7.224 7.224 2.408 Co
7.224 7.224 7.224 Co
0.000 0.000 0.000 Sn
0.000 2.899 1.526 Sn
0.000 2.899 8.107 Sn
0.000 6.733 1.526 Sn
0.000 6.733 8.107 Sn
1.526 0.000 2.899 Sn
1.526 0.000 6.733 Sn
1.917 4.816 3.290 Sn
1.917 4.816 6.342 Sn
2.899 1.526 0.000 Sn
2.899 8.107 0.000 Sn
3.290 1.917 4.816 Sn
3.290 7.716 4.816 Sn
4.816 3.290 1.917 Sn
4.816 3.290 7.716 Sn
4.816 4.816 4.816 Sn
4.816 6.342 1.917 Sn
4.816 6.342 7.716 Sn
6.342 1.917 4.816 Sn
6.342 7.716 4.816 Sn
6.733 1.526 0.000 Sn
6.733 8.107 0.000 Sn
7.716 4.816 3.290 Sn
7.716 4.816 6.342 Sn
8.107 0.000 2.899 Sn
8.107 0.000 6.733 Sn
```

Main lines, low angle first (2θ = 10–90°):
| d [Å] | I_rel |
| --- | --- |
| 4.308 | 108 |
| 3.046 | 136 |
| 2.672 | 1000 |
| 2.574 | 334 |
| 2.408 | 149 |
| 2.336 | 178 |
| 1.966 | 246 |
| 1.652 | 163 |
| 1.563 | 192 |
| 1.504 | 111 |
| 1.376 | 167 |
| 1.362 | 108 |

---

# 13
Computed PXRD pattern
Compound: CaCoSn4
Radiation: Cu Kα
Structure: a cell relaxed with PBE

Structure:
```
CaCoSn4
1.0
6.365 0.000 0.000
-1.373 6.787 0.000
-1.125 -2.414 6.813
Ca Co Sn
2 2 8
Cartesian
-0.927 2.662 1.657 Ca
4.795 1.712 5.156 Ca
-0.562 -1.207 3.406 Co
3.183 0.000 0.000 Co
-0.431 5.951 1.164 Sn
0.095 4.325 4.343 Sn
1.779 2.069 0.080 Sn
1.193 0.768 3.922 Sn
2.675 3.606 2.890 Sn
2.089 2.305 6.733 Sn
3.773 0.048 2.469 Sn
4.299 -1.577 5.649 Sn
```

Main lines, low angle first (2θ = 10–90°):
| d [Å] | I_rel |
| --- | --- |
| 6.398 | 451 |
| 3.160 | 282 |
| 3.068 | 370 |
| 3.042 | 330 |
| 2.856 | 912 |
| 2.740 | 694 |
| 2.721 | 940 |
| 2.571 | 1000 |
| 2.556 | 317 |
| 2.418 | 611 |
| 2.305 | 358 |
| 2.073 | 276 |